Fe2Ir7Os2: theoretical XRD peak list (copper Kα), based on a GGA-PBE-relaxed structure.
No peak broadening, texture or thermal motion is included.

Largest 10 diffraction maxima, sorted by position, 2θ = 10–80°:
d 4.535, 2θ 19.57, rel. 34.6, (2 0 0); d 2.975, 2θ 30.04, rel. 34.2, (2 2 0); d 2.392, 2θ 37.61, rel. 35.6, (2 2 1); d 2.326, 2θ 38.71, rel. 45.0, (0 0 2); d 2.266, 2θ 39.78, rel. 100.0, (4 0 0); d 2.224, 2θ 40.55, rel. 30.7, (2 0 -2); d 2.177, 2θ 41.48, rel. 83.8, (1 3 1); d 1.900, 2θ 47.87, rel. 84.9, (3 3 -1); d 1.757, 2θ 52.05, rel. 27.0, (3 3 1); d 1.349, 2θ 69.69, rel. 23.7, (1 3 -3)

Crystal structure
```
data_Fe2Ir7Os2
_cell_length_a 9.1966
_cell_length_b 7.8840
_cell_length_c 4.7174
_cell_angle_alpha 90.00
_cell_angle_beta 99.51
_cell_angle_gamma 90.00
_space_group_name_H-M_alt 'C 1 2/m 1'
_space_group_IT_number 12
_space_group_name_Hall '-C 2y'
loop_
_atom_site_label
_atom_site_type_symbol
_atom_site_fract_x
_atom_site_fract_y
_atom_site_fract_z
_atom_site_occupancy
Fe1 Fe 0.0000 0.1815 0.0000 1
Ir1 Ir 0.0000 0.0000 0.5000 1
Ir2 Ir 0.0398 0.5000 0.2675 1
Ir3 Ir 0.2254 0.1785 0.7444 1
Os1 Os 0.2352 0.0000 0.2461 1
```

=====

FeIr2OsSe: theoretical XRD peak list (copper Kα), based on a GGA-PBE-relaxed structure.
No peak broadening, texture or thermal motion is included.

Largest 10 diffraction maxima, sorted by position, 2θ = 10–80°:
d 4.277, 2θ 20.77, rel. 13.8, (0 0 1); d 3.119, 2θ 28.62, rel. 24.1, (1 0 1); d 2.574, 2θ 34.86, rel. 100.0, (1 1 1); d 2.278, 2θ 39.55, rel. 59.2, (2 0 0); d 2.138, 2θ 42.26, rel. 24.6, (0 0 2); d 1.611, 2θ 57.18, rel. 20.3, (2 2 0); d 1.559, 2θ 59.26, rel. 36.3, (2 0 2); d 1.366, 2θ 68.74, rel. 28.2, (3 1 1); d 1.304, 2θ 72.50, rel. 12.1, (1 1 3); d 1.287, 2θ 73.61, rel. 19.2, (2 2 2)

Crystal structure
```
data_FeIr2OsSe
_cell_length_a 4.5568
_cell_length_b 4.5568
_cell_length_c 4.2770
_cell_angle_alpha 90.00
_cell_angle_beta 90.00
_cell_angle_gamma 90.00
_space_group_name_H-M_alt 'P 4/m m m'
_space_group_IT_number 123
_space_group_name_Hall '-P 4 2'
loop_
_atom_site_label
_atom_site_type_symbol
_atom_site_fract_x
_atom_site_fract_y
_atom_site_fract_z
_atom_site_occupancy
Fe1 Fe 0.0000 0.0000 0.0000 1
Ir1 Ir 0.0000 0.5000 0.5000 1
Os1 Os 0.5000 0.5000 0.0000 1
Se1 Se 0.0000 0.0000 0.5000 1
```

=====

VFeIrOs: theoretical XRD peak list (copper Kα), based on a GGA-PBE-relaxed structure.
No peak broadening, texture or thermal motion is included.

Largest 10 diffraction maxima, sorted by position, 2θ = 10–80°:
d 3.657, 2θ 24.34, rel. 29.8, (1 0 0); d 2.698, 2θ 33.21, rel. 27.7, (0 1 1); d 2.171, 2θ 41.60, rel. 100.0, (1 1 1); d 1.917, 2θ 47.43, rel. 17.1, (0 0 2); d 1.899, 2θ 47.91, rel. 16.6, (0 2 0); d 1.829, 2θ 49.87, rel. 14.7, (2 0 0); d 1.514, 2θ 61.24, rel. 10.5, (2 1 1); d 1.349, 2θ 69.71, rel. 10.7, (0 2 2); d 1.323, 2θ 71.27, rel. 10.0, (2 0 2); d 1.317, 2θ 71.65, rel. 9.8, (2 2 0)

Crystal structure
```
data_VFeIrOs
_cell_length_a 3.6571
_cell_length_b 3.7971
_cell_length_c 3.8339
_cell_angle_alpha 90.00
_cell_angle_beta 90.00
_cell_angle_gamma 90.00
_space_group_name_H-M_alt 'P m m m'
_space_group_IT_number 47
_space_group_name_Hall '-P 2 2'
loop_
_atom_site_label
_atom_site_type_symbol
_atom_site_fract_x
_atom_site_fract_y
_atom_site_fract_z
_atom_site_occupancy
V1 V 0.0000 0.0000 0.0000 1
Fe1 Fe 0.0000 0.5000 0.5000 1
Ir1 Ir 0.5000 0.0000 0.5000 1
Os1 Os 0.5000 0.5000 0.0000 1
```

=====

> Which formula does entry 3 have?

VFeIrOs